Diffraction record for Ni9O10. The powder diffraction line list is calculated, not measured: it uses the PBE+U geometry in Alexandria and λ = 1.5418 Å (Cu Kα).
Peak positions follow from Bragg's law for the DFT cell and can differ from measured ones.

Cell and atoms:
Cell: 5.1216 5.9186 6.6385 Å, 102.77 97.65 106.88°
Fractional positions:
Ni 0.0000 0.0000 0.0000
Ni 0.1967 0.8931 0.3927
Ni 0.2006 0.4019 0.3909
Ni 0.3869 0.7932 0.8015
Ni 0.4039 0.3048 0.8066
Ni 0.5961 0.6952 0.1934
Ni 0.6131 0.2068 0.1985
Ni 0.7994 0.5981 0.6091
Ni 0.8033 0.1069 0.6073
O 0.0987 0.9505 0.7003
O 0.1083 0.4462 0.6803
O 0.3204 0.3410 0.1053
O 0.3208 0.8766 0.1100
O 0.4997 0.2479 0.5051
O 0.5003 0.7521 0.4949
O 0.6792 0.1234 0.8900
O 0.6796 0.6590 0.8947
O 0.8917 0.5538 0.3197
O 0.9013 0.0495 0.2997

Most intense lines, 2θ = 5–70°, low angle first:
hkl	two_theta	I_rel
0 0 1	14.00	5
0 1 -1	18.35	5
1 -1 1	24.34	5
-1 2 1	37.16	52
1 0 2	37.22	51
1 0 -3	43.05	51
2 -2 1	43.29	100
-3 2 2	62.68	43
1 -4 1	62.78	28
3 0 1	62.98	14

---

Diffraction record for Ni4O3. The powder diffraction line list is calculated, not measured: it uses the PBE+U geometry in Alexandria and λ = 1.5418 Å (Cu Kα).
Peak positions follow from Bragg's law for the DFT cell and can differ from measured ones.

Cell and atoms:
Cell: 4.1615 4.1615 4.1615 Å, 90.00 90.00 90.00°
Fractional positions:
Ni 0.0000 0.0000 0.0000
Ni 0.0000 0.5000 0.5000
Ni 0.5000 0.0000 0.5000
Ni 0.5000 0.5000 0.0000
O 0.0000 0.0000 0.5000
O 0.0000 0.5000 0.0000
O 0.5000 0.0000 0.0000

Most intense lines, 2θ = 5–70°, low angle first:
hkl	two_theta	I_rel
1 0 0	21.35	2
1 1 0	30.38	2
1 1 1	37.43	98
2 0 0	43.49	100
2 1 0	48.94	1
2 2 0	63.20	58